# LiTl
Theoretical powder X-ray diffraction pattern, Cu Kα (λ = 1.5418 Å). Input: a cell relaxed with PBE.
Lines closer than 0.1° are merged.

Atomic structure:
Cell: 3.3940 3.3940 4.5717 Å, 90.00 90.00 120.00°
Fractional positions:
Li 0.0000 0.0000 0.0000
Tl 0.6667 0.3333 0.5000

Top 12 peaks for 2θ = 10–90°, low angle first:
| d_spacing | 2theta | Rel. int. | (hkl) |
| --- | --- | --- | --- |
| 4.572 | 19.4 | 73 | 0 0 1 |
| 2.939 | 30.4 | 76 | 1 0 0 |
| 2.472 | 36.3 | 100 | 1 0 1 |
| 2.286 | 39.4 | 14 | 0 0 2 |
| 1.804 | 50.6 | 38 | 1 0 2 |
| 1.697 | 54.0 | 17 | 1 1 0 |
| 1.591 | 58.0 | 25 | 1 1 1 |
| 1.470 | 63.3 | 10 | 2 0 0 |
| 1.399 | 66.9 | 17 | 2 0 1 |
| 1.363 | 68.9 | 16 | 1 1 2 |
| 1.353 | 69.5 | 16 | 1 0 3 |
| 1.236 | 77.2 | 11 | 2 0 2 |